No. 1
# HgH10C2S2O8
Calculated X-ray powder pattern, Cu Kα (weighted mean of Kα1 and Kα2). Input: a cell relaxed with PBE.

Crystal structure
a b c (Å): 4.8287 6.4704 8.3391
angles (deg): 88.12 84.85 84.32
Space group P-1 (No. 2)
Symmetry-distinct sites (fractional):
Hg 0.0000 0.0000 0.0000 [1 per cell]
H 0.0088 0.6289 0.8112 [2 per cell]
H 0.1739 0.6555 0.4258 [2 per cell]
H 0.1744 0.9321 0.3923 [2 per cell]
H 0.3036 0.3194 0.1110 [2 per cell]
H 0.4259 0.7930 0.5141 [2 per cell]
C 0.3035 0.7858 0.4103 [2 per cell]
S 0.4654 0.2583 0.7656 [2 per cell]
O 0.1431 0.2575 0.1676 [2 per cell]
O 0.2964 0.4556 0.7414 [2 per cell]
O 0.2996 0.0739 0.7772 [2 per cell]
O 0.3648 0.7339 0.0949 [2 per cell]

Top 10 peaks for 2θ = 10–80°, most intense first:
two_theta  I (rel.)  h k l
10.65  100  0 0 1
17.23  57  0 1 1
13.76  39  0 1 0
25.99  28  1 -1 1
25.40  24  1 1 -1
20.60  21  1 0 1
29.50  17  1 1 2
32.30  15  1 1 -2
24.22  14  1 -1 0
29.69  14  1 0 -2

***

No. 2
# HoNiPb
Calculated X-ray powder pattern, Cu Kα (weighted mean of Kα1 and Kα2). Input: a cell relaxed with PBE.

Crystal structure
a b c (Å): 7.1594 4.5306 7.8869
angles (deg): 90.00 90.00 90.00
Space group Pnma (No. 62)
Symmetry-distinct sites (fractional):
Ho 0.0123 0.2500 0.2080 [4 per cell]
Ni 0.2092 0.7500 0.4099 [4 per cell]
Pb 0.1952 0.2500 0.5821 [4 per cell]

Top 10 peaks for 2θ = 10–80°, most intense first:
two_theta  I (rel.)  h k l
33.86  100  2 1 1
39.64  48  0 1 3
25.84  37  1 0 2
39.79  30  0 2 0
32.60  27  1 1 2
39.45  19  3 0 1
64.68  17  3 1 4
53.19  17  2 2 2
57.28  12  3 2 1
73.39  10  5 1 2

***

No. 3
# ZrMn3
Calculated X-ray powder pattern, Cu Kα (weighted mean of Kα1 and Kα2). Input: a cell relaxed with PBE.

Crystal structure
a b c (Å): 5.5600 5.5600 4.3768
angles (deg): 90.00 90.00 120.00
Space group P6_3/mmc (No. 194)
Symmetry-distinct sites (fractional):
Zr 0.3333 0.6667 0.2500 [2 per cell]
Mn 0.1488 0.2976 0.7500 [6 per cell]

Top 10 peaks for 2θ = 10–80°, most intense first:
two_theta  I (rel.)  h k l
42.87  100  2 0 1
41.25  27  0 0 2
37.35  25  2 0 0
76.32  16  2 0 3
67.37  14  2 2 0
27.54  14  1 0 1
56.86  14  2 0 2
50.12  5  2 1 0
32.20  4  1 1 0
66.86  4  2 1 2

***

No. 4
# NaSmP2S6
Calculated X-ray powder pattern, Cu Kα (weighted mean of Kα1 and Kα2). Input: a cell relaxed with PBE.

Crystal structure
a b c (Å): 11.7562 7.4038 11.1742
angles (deg): 90.00 111.23 90.00
Space group P2_1/c (No. 14)
Symmetry-distinct sites (fractional):
Na 0.1400 0.1093 0.3790 [4 per cell]
Sm 0.3474 0.6102 0.5910 [4 per cell]
P 0.1939 0.6155 0.2494 [4 per cell]
P 0.3246 0.1029 0.7498 [4 per cell]
S 0.0892 0.5083 0.3383 [4 per cell]
S 0.1218 0.7006 0.0651 [4 per cell]
S 0.2188 0.2041 0.1335 [4 per cell]
S 0.3065 0.6864 0.8549 [4 per cell]
S 0.4078 0.1861 0.9354 [4 per cell]
S 0.4491 0.5207 0.1868 [4 per cell]

Top 10 peaks for 2θ = 10–80°, most intense first:
two_theta  I (rel.)  h k l
33.25  100  4 1 -2
32.08  79  1 1 3
14.68  78  0 1 1
25.85  69  1 2 -1
14.44  56  1 1 0
30.68  47  2 2 -2
34.51  45  2 1 -4
16.18  41  2 0 0
37.76  41  3 2 1
20.85  34  0 1 2

***

No. 5
# MgSnBiO4
Calculated X-ray powder pattern, Cu Kα (weighted mean of Kα1 and Kα2). Input: a cell relaxed with PBE.

Crystal structure
a b c (Å): 4.2738 4.2738 12.6131
angles (deg): 90.00 90.00 90.00
Space group I-4m2 (No. 119)
Symmetry-distinct sites (fractional):
Mg 0.0000 0.0000 0.0000 [2 per cell]
Sn 0.0000 0.0000 0.5000 [2 per cell]
Bi 0.0000 0.5000 0.2500 [2 per cell]
O 0.0000 0.0000 0.3295 [4 per cell]
O 0.0000 0.5000 0.0052 [4 per cell]

Top 10 peaks for 2θ = 10–80°, most intense first:
two_theta  I (rel.)  h k l
21.96  100  1 0 1
32.86  60  1 1 2
29.81  38  1 0 3
28.30  34  0 0 4
42.29  29  2 0 0
51.67  26  2 0 4
48.15  26  2 1 1
53.07  22  1 1 6
41.57  21  1 0 5
52.60  17  2 1 3

***

No. 6
# Rb2IrF6
Calculated X-ray powder pattern, Cu Kα (weighted mean of Kα1 and Kα2). Input: a cell relaxed with PBE.

Crystal structure
a b c (Å): 6.0755 6.0755 4.8936
angles (deg): 90.00 90.00 120.00
Space group P-3m1 (No. 164)
Symmetry-distinct sites (fractional):
Rb 0.3333 0.6667 0.2943 [2 per cell]
Ir 0.0000 0.0000 0.0000 [1 per cell]
F 0.1570 0.3140 0.7790 [6 per cell]

Top 10 peaks for 2θ = 10–80°, most intense first:
two_theta  I (rel.)  h k l
24.85  100  0 1 1
29.40  56  1 1 0
38.87  51  2 0 1
16.85  35  1 0 0
49.47  29  1 2 1
40.67  29  1 0 2
50.97  23  0 2 2
59.94  22  2 1 2
18.13  15  0 0 1
61.00  14  2 2 0

***

No. 7
# MgNbOF3
Calculated X-ray powder pattern, Cu Kα (weighted mean of Kα1 and Kα2). Input: a cell relaxed with PBE.

Crystal structure
a b c (Å): 9.2052 4.1691 4.5269
angles (deg): 90.00 119.07 90.00
Space group C2/m (No. 12)
Symmetry-distinct sites (fractional):
Mg 0.0000 0.0000 0.0000 [2 per cell]
Nb 0.0000 0.5000 0.5000 [2 per cell]
O 0.0000 0.0000 0.5000 [2 per cell]
F 0.0000 0.5000 0.0000 [2 per cell]
F 0.2381 0.0000 0.2359 [4 per cell]

Top 10 peaks for 2θ = 10–80°, most intense first:
two_theta  I (rel.)  h k l
29.12  100  1 1 -1
22.10  93  2 0 0
39.83  52  2 0 -2
24.04  51  1 1 0
43.41  40  0 2 0
45.07  35  4 0 0
60.37  26  2 2 -2
22.60  26  2 0 -1
22.47  25  0 0 1
64.36  21  4 2 0